1.
Structure and theoretical powder diffractogram of NaPa4CuN8 (a DFT-relaxed cell (GGA-PBE, Alexandria); λ = 1.5418 Å (Cu Kα)).
Peak positions follow from Bragg's law for the DFT cell and can differ from measured ones.

Most intense lines, 10° ≤ 2θ ≤ 90°, in order of falling intensity:
2θ = 29.48°, I = 100
2θ = 31.57°, I = 65
2θ = 19.20°, I = 52
2θ = 50.95°, I = 40
2θ = 38.94°, I = 29
2θ = 54.94°, I = 27
2θ = 59.97°, I = 24
2θ = 82.51°, I = 23
2θ = 46.74°, I = 21
2θ = 61.20°, I = 18

Atomic structure:
Cell lengths 7.1709, 7.1709, 13.8711 Å; angles 90.00, 90.00, 120.00 degrees
Space group R3m (No. 160, hexagonal axes)
Asymmetric unit:
Na: 0.0000 0.0000 0.0000
Pa: 0.0000 0.0000 0.5592
Pa: 0.0070 0.5035 0.4871
Cu: 0.0000 0.0000 0.3586
N: 0.0000 0.0000 0.2187
N: 0.0000 0.0000 0.7424
N: 0.1821 0.3643 0.5711
N: 0.1849 0.3698 0.1060

***

2.
Structure and theoretical powder diffractogram of Ca2In3Cu (a DFT-relaxed cell (GGA-PBE, Alexandria); λ = 1.5418 Å (Cu Kα)).
Peak positions follow from Bragg's law for the DFT cell and can differ from measured ones.

Most intense lines, 10° ≤ 2θ ≤ 90°, in order of falling intensity:
2θ = 37.15°, I = 100
2θ = 37.49°, I = 77
2θ = 31.83°, I = 71
2θ = 32.13°, I = 43
2θ = 23.55°, I = 40
2θ = 30.81°, I = 39
2θ = 21.33°, I = 33
2θ = 44.78°, I = 27
2θ = 44.14°, I = 20
2θ = 54.04°, I = 17

Atomic structure:
Cell lengths 11.2042, 4.7964, 7.5582 Å; angles 90.00, 131.40, 90.00 degrees
Space group Cm (No. 8)
Asymmetric unit:
Ca: 0.0000 0.0000 0.0000
Ca: 0.0904 0.0000 0.5843
In: 0.2107 0.5000 0.3880
In: 0.3658 0.0000 0.1667
In: 0.4103 0.0000 0.6256
Cu: 0.2204 0.5000 0.0215

***

3.
Structure and theoretical powder diffractogram of Sm6MgOs2 (a DFT-relaxed cell (GGA-PBE, Alexandria); λ = 1.5418 Å (Cu Kα)).
Peak positions follow from Bragg's law for the DFT cell and can differ from measured ones.

Most intense lines, 10° ≤ 2θ ≤ 90°, in order of falling intensity:
2θ = 12.85°, I = 100
2θ = 34.17°, I = 97
2θ = 32.62°, I = 68
2θ = 30.94°, I = 67
2θ = 33.50°, I = 66
2θ = 34.32°, I = 58
2θ = 38.53°, I = 56
2θ = 37.70°, I = 41
2θ = 37.15°, I = 35
2θ = 56.95°, I = 30

Atomic structure:
Cell lengths 9.6813, 9.8018, 10.6323 Å; angles 90.00, 90.00, 90.00 degrees
Space group Immm (No. 71)
Asymmetric unit:
Sm: 0.0000 0.2062 0.2415
Sm: 0.1843 0.5000 0.1735
Sm: 0.2199 0.3155 0.5000
Mg: 0.0000 0.0000 0.0000
Mg: 0.0000 0.0000 0.5000
Os: 0.0000 0.3180 0.0000
Os: 0.0000 0.5000 0.3820

***

4.
Structure and theoretical powder diffractogram of MgCu6Se6 (a DFT-relaxed cell (GGA-PBE, Alexandria); λ = 1.5418 Å (Cu Kα)).
Peak positions follow from Bragg's law for the DFT cell and can differ from measured ones.

Most intense lines, 10° ≤ 2θ ≤ 90°, in order of falling intensity:
2θ = 43.41°, I = 100
2θ = 38.87°, I = 35
2θ = 32.45°, I = 32
2θ = 37.65°, I = 32
2θ = 42.36°, I = 26
2θ = 67.97°, I = 26
2θ = 83.44°, I = 20
2θ = 57.93°, I = 16
2θ = 84.16°, I = 13
2θ = 28.03°, I = 13

Atomic structure:
Cell lengths 5.5174, 5.5174, 8.5355 Å; angles 90.00, 90.00, 120.00 degrees
Space group P6/mmm (No. 191)
Asymmetric unit:
Mg: 0.0000 0.0000 0.0000
Cu: 0.0000 0.5000 0.2599
Se: 0.0000 0.0000 0.2911
Se: 0.3333 0.6667 0.0000
Se: 0.3333 0.6667 0.5000